The following is a calculated powder X-ray diffraction pattern of CaNbMoO6. It was derived from a cell relaxed with PBE+U, using a wavelength of 1.5418 Å.
Kinematic intensities with the Lorentz-polarization factor, no thermal factor.

The 10 most intense peaks (10° ≤ 2θ ≤ 80°), most intense first:
2θ 25.44, 3.502 Å, rel. 100, hkl 1 1 0
2θ 33.39, 2.683 Å, rel. 67, hkl 1 0 3
2θ 50.13, 1.820 Å, rel. 62, hkl 2 1 3
2θ 20.19, 4.399 Å, rel. 21, hkl 1 0 1
2θ 63.44, 1.466 Å, rel. 20, hkl 3 0 3
2θ 52.25, 1.751 Å, rel. 18, hkl 2 2 0
2θ 36.28, 2.476 Å, rel. 16, hkl 2 0 0
2θ 58.98, 1.566 Å, rel. 13, hkl 3 1 0
2θ 64.12, 1.452 Å, rel. 13, hkl 1 1 6
2θ 18.53, 4.789 Å, rel. 11, hkl 0 0 2

Atomic structure:
```
data_CaNbMoO6
_space_group_name_H-M_alt 'P 42 n m'
_space_group_IT_number 102
_space_group_name_Hall 'P 4n -2n'
_cell_length_a 4.952
_cell_length_b 4.952
_cell_length_c 9.577
_cell_angle_alpha 90.00
_cell_angle_beta 90.00
_cell_angle_gamma 90.00
loop_
_atom_site_label
_atom_site_fract_x
_atom_site_fract_y
_atom_site_fract_z
Ca1 0.000 0.000 0.000
Nb1 0.000 0.000 0.331
Mo1 0.000 0.000 0.671
O1 0.175 0.175 0.501
O2 0.210 0.210 0.190
O3 0.210 0.210 0.804
```